(1)
Ni3SnSe2S2: simulated XRD peak list (Cu Kα X-rays), based on a crystal structure in OQMD, relaxed with PBE.
No peak broadening, texture or thermal motion is included.

Cell and atoms:
a = 6.6085 Å, b = 6.6085 Å, c = 5.4205 Å
α = 113.96°, β = 113.96°, γ = 48.34°
Element x y z (fractional)
1 Ni 0.0000 0.0000 0.0000
2 Ni 0.2768 0.2235 0.7765
3 Ni 0.7765 0.7232 0.2235
4 Sn 0.5391 0.4609 0.5000
5 Se 0.1026 0.6159 0.6379
6 Se 0.3841 0.8974 0.3621
7 S 0.6632 0.0611 0.0837
8 S 0.9389 0.3368 0.9163

Largest 12 diffraction maxima, sorted by position, 2θ from 10° to 90°:
| Position (°2θ) | intensity |
| --- | --- |
| 18.30 | 5 |
| 28.58 | 100 |
| 29.78 | 9 |
| 38.06 | 12 |
| 47.46 | 32 |
| 47.61 | 31 |
| 56.24 | 7 |
| 56.40 | 26 |
| 56.58 | 6 |
| 76.97 | 5 |
| 88.46 | 6 |
| 88.62 | 5 |

---

(2)
RbLi2CdC2O6F: simulated XRD peak list (Cu Kα X-rays), based on a crystal structure in OQMD, relaxed with PBE.
No peak broadening, texture or thermal motion is included.

Cell and atoms:
a = 4.9153 Å, b = 4.9153 Å, c = 15.1689 Å
α = 90.00°, β = 90.00°, γ = 120.00°
Element x y z (fractional)
1 Rb 0.0000 0.0000 0.2500
2 Rb 0.0000 0.0000 0.7500
3 Li 0.3333 0.6667 0.1303
4 Li 0.3333 0.6667 0.3697
5 Li 0.6667 0.3333 0.6303
6 Li 0.6667 0.3333 0.8697
7 Cd 0.0000 0.0000 0.0000
8 Cd 0.0000 0.0000 0.5000
9 C 0.3333 0.6667 0.5908
10 C 0.3333 0.6667 0.9092
11 C 0.6667 0.3333 0.0908
12 C 0.6667 0.3333 0.4092
13 O 0.0691 0.4040 0.5915
14 O 0.0691 0.4040 0.9085
15 O 0.3350 0.9309 0.5915
16 O 0.3350 0.9309 0.9085
17 O 0.4040 0.3350 0.0915
18 O 0.4040 0.3350 0.4085
19 O 0.5960 0.6650 0.5915
20 O 0.5960 0.6650 0.9085
21 O 0.6650 0.0691 0.0915
22 O 0.6650 0.0691 0.4085
23 O 0.9309 0.5960 0.0915
24 O 0.9309 0.5960 0.4085
25 F 0.3333 0.6667 0.2500
26 F 0.6667 0.3333 0.7500

Largest 12 diffraction maxima, sorted by position, 2θ from 10° to 90°:
| Position (°2θ) | intensity |
| --- | --- |
| 11.67 | 15 |
| 20.87 | 77 |
| 23.46 | 12 |
| 31.60 | 100 |
| 36.56 | 34 |
| 42.47 | 18 |
| 43.90 | 42 |
| 49.08 | 23 |
| 52.86 | 18 |
| 57.26 | 15 |
| 61.80 | 16 |
| 62.73 | 23 |

---

(3)
CuAg2: simulated XRD peak list (Cu Kα X-rays), based on a crystal structure in OQMD, relaxed with PBE.
No peak broadening, texture or thermal motion is included.

Cell and atoms:
a = 4.9368 Å, b = 4.9368 Å, c = 11.5761 Å
α = 112.51°, β = 112.51°, γ = 33.87°
Element x y z (fractional)
1 Cu 0.0000 0.0000 0.0000
2 Cu 0.3436 0.3436 0.7979
3 Cu 0.6564 0.6564 0.2021
4 Ag 0.0104 0.0104 0.3279
5 Ag 0.3293 0.3293 0.4308
6 Ag 0.3341 0.3341 0.1094
7 Ag 0.6659 0.6659 0.8906
8 Ag 0.6707 0.6707 0.5692
9 Ag 0.9896 0.9896 0.6721

Largest 12 diffraction maxima, sorted by position, 2θ from 10° to 90°:
| Position (°2θ) | intensity |
| --- | --- |
| 38.80 | 49 |
| 39.06 | 100 |
| 39.15 | 52 |
| 44.48 | 69 |
| 47.11 | 25 |
| 64.60 | 10 |
| 64.83 | 11 |
| 66.54 | 16 |
| 67.03 | 17 |
| 77.92 | 11 |
| 78.19 | 11 |
| 78.40 | 24 |

---

(4)
Pr3AlNiS7: simulated XRD peak list (Cu Kα X-rays), based on a crystal structure in OQMD, relaxed with PBE.
No peak broadening, texture or thermal motion is included.

Cell and atoms:
a = 9.9485 Å, b = 9.9485 Å, c = 6.2045 Å
α = 90.00°, β = 90.00°, γ = 120.00°
Element x y z (fractional)
1 Pr 0.1495 0.3744 0.0000
2 Pr 0.2250 0.8505 0.0000
3 Pr 0.3744 0.2250 0.5000
4 Pr 0.6256 0.7750 0.0000
5 Pr 0.7750 0.1495 0.5000
6 Pr 0.8505 0.6256 0.5000
7 Al 0.3333 0.6667 0.4240
8 Al 0.6667 0.3333 0.9240
9 Ni 0.0000 0.0000 0.3141
10 Ni 0.0000 0.0000 0.8141
11 S 0.0914 0.2245 0.5774
12 S 0.0950 0.5740 0.2784
13 S 0.1331 0.9086 0.5774
14 S 0.2245 0.1331 0.0774
15 S 0.3333 0.6667 0.7838
16 S 0.4260 0.5210 0.2784
17 S 0.4790 0.9050 0.2784
18 S 0.5210 0.0950 0.7784
19 S 0.5740 0.4790 0.7784
20 S 0.6667 0.3333 0.2838
21 S 0.7755 0.8669 0.5774
22 S 0.8669 0.0914 0.0774
23 S 0.9050 0.4260 0.7784
24 S 0.9086 0.7755 0.0774

Largest 12 diffraction maxima, sorted by position, 2θ from 10° to 90°:
| Position (°2θ) | intensity |
| --- | --- |
| 17.62 | 42 |
| 22.92 | 22 |
| 25.17 | 100 |
| 27.39 | 34 |
| 34.41 | 39 |
| 35.67 | 43 |
| 36.11 | 38 |
| 40.15 | 31 |
| 40.45 | 31 |
| 48.36 | 22 |
| 48.85 | 24 |
| 50.74 | 23 |

---

(5)
Gd2Al3Hg3: simulated XRD peak list (Cu Kα X-rays), based on a crystal structure in OQMD, relaxed with PBE.
No peak broadening, texture or thermal motion is included.

Cell and atoms:
a = 6.4614 Å, b = 4.8099 Å, c = 6.4780 Å
α = 90.00°, β = 118.67°, γ = 90.00°
Element x y z (fractional)
1 Gd 0.0000 0.0000 0.0000
2 Gd 0.3260 0.5000 0.6753
3 Al 0.3725 0.5000 0.1975
4 Al 0.8186 0.5000 0.6394
5 Al 0.9666 0.0000 0.4981
6 Hg 0.4944 0.0000 0.0159
7 Hg 0.5036 0.0000 0.5054
8 Hg 0.8441 0.5000 0.1912

Largest 12 diffraction maxima, sorted by position, 2θ from 10° to 90°:
| Position (°2θ) | intensity |
| --- | --- |
| 15.62 | 14 |
| 15.93 | 12 |
| 24.26 | 16 |
| 24.46 | 32 |
| 27.02 | 14 |
| 31.53 | 27 |
| 32.17 | 13 |
| 36.77 | 100 |
| 37.36 | 79 |
| 49.69 | 15 |
| 67.04 | 18 |
| 69.06 | 18 |

---

(6)
TbDyPa: simulated XRD peak list (Cu Kα X-rays), based on a crystal structure in OQMD, relaxed with PBE.
No peak broadening, texture or thermal motion is included.

Cell and atoms:
a = 5.2503 Å, b = 5.2503 Å, c = 5.2503 Å
α = 60.00°, β = 60.00°, γ = 60.00°
Element x y z (fractional)
1 Tb 0.0000 0.0000 0.0000
2 Dy 0.7500 0.7500 0.7500
3 Pa 0.5000 0.5000 0.5000

Largest 12 diffraction maxima, sorted by position, 2θ from 10° to 90°:
| Position (°2θ) | intensity |
| --- | --- |
| 20.72 | 24 |
| 23.97 | 20 |
| 34.16 | 100 |
| 40.28 | 13 |
| 42.16 | 6 |
| 49.08 | 18 |
| 53.82 | 6 |
| 55.33 | 9 |
| 61.15 | 38 |
| 65.30 | 4 |
| 71.94 | 12 |
| 82.09 | 17 |

---

> Which formula does entry 2 have?

RbLi2CdC2O6F

---

> Which formula does entry 3 have?

CuAg2